[1]
Simulated PXRD pattern of PrDy2Pt2 for Cu Ka, from a DFT-relaxed cell (PBE, Alexandria).

Structural model:
```
data_PrDy2Pt2
_cell_length_a 5.476
_cell_length_b 4.674
_cell_length_c 10.517
_cell_angle_alpha 90.00
_cell_angle_beta 96.93
_cell_angle_gamma 90.00
_symmetry_space_group_name_H-M 'P 1'
_symmetry_Int_Tables_number 1
loop_
_symmetry_equiv_pos_as_xyz
'x,y,z'
loop_
_atom_site_label
_atom_site_type_symbol
_atom_site_fract_x
_atom_site_fract_y
_atom_site_fract_z
Pr1 Pr 0.077 0.250 0.281
Pr2 Pr 0.923 0.750 0.719
Dy1 Dy 0.272 0.750 0.029
Dy2 Dy 0.376 0.250 0.613
Dy3 Dy 0.624 0.750 0.387
Dy4 Dy 0.728 0.250 0.971
Pt1 Pt 0.160 0.750 0.474
Pt2 Pt 0.203 0.250 0.868
Pt3 Pt 0.797 0.750 0.132
Pt4 Pt 0.840 0.250 0.526
```

Largest 8 diffraction maxima, most intense first, 5° ≤ 2θ ≤ 70°:
- 2θ 31.61, I 100
- 2θ 32.07, I 98
- 2θ 38.52, I 73
- 2θ 40.21, I 70
- 2θ 41.32, I 67
- 2θ 35.34, I 56
- 2θ 53.27, I 36
- 2θ 48.56, I 34

[2]
Simulated PXRD pattern of KInF for Cu Ka, from a DFT-relaxed cell (PBE, Alexandria).

Structural model:
```
data_KInF
_cell_length_a 9.637
_cell_length_b 9.637
_cell_length_c 9.637
_cell_angle_alpha 159.28
_cell_angle_beta 148.28
_cell_angle_gamma 38.19
_symmetry_space_group_name_H-M 'P 1'
_symmetry_Int_Tables_number 1
loop_
_symmetry_equiv_pos_as_xyz
'x,y,z'
loop_
_atom_site_label
_atom_site_type_symbol
_atom_site_fract_x
_atom_site_fract_y
_atom_site_fract_z
K1 K 0.185 0.185 0.000
K2 K 0.815 0.815 0.000
In1 In 0.251 0.500 0.751
In2 In 0.749 0.500 0.249
F1 F 0.320 0.320 0.000
F2 F 0.680 0.680 0.000
```

Largest 8 diffraction maxima, most intense first, 5° ≤ 2θ ≤ 70°:
- 2θ 9.71, I 100
- 2θ 29.68, I 53
- 2θ 19.49, I 49
- 2θ 26.17, I 47
- 2θ 43.45, I 47
- 2θ 35.48, I 44
- 2θ 29.42, I 41
- 2θ 50.20, I 24

[3]
Simulated PXRD pattern of Y2InGa2Pd5 for Cu Ka, from a DFT-relaxed cell (PBE, Alexandria).

Structural model:
```
data_Y2InGa2Pd5
_cell_length_a 9.928
_cell_length_b 9.928
_cell_length_c 3.770
_cell_angle_alpha 90.00
_cell_angle_beta 90.00
_cell_angle_gamma 90.00
_symmetry_space_group_name_H-M 'P 1'
_symmetry_Int_Tables_number 1
loop_
_symmetry_equiv_pos_as_xyz
'x,y,z'
loop_
_atom_site_label
_atom_site_type_symbol
_atom_site_fract_x
_atom_site_fract_y
_atom_site_fract_z
Y1 Y 0.176 0.324 0.000
Y2 Y 0.324 0.824 0.000
Y3 Y 0.676 0.176 0.000
Y4 Y 0.824 0.676 0.000
In1 In 0.000 0.000 0.000
In2 In 0.500 0.500 0.000
Ga1 Ga 0.122 0.622 0.000
Ga2 Ga 0.378 0.122 0.000
Ga3 Ga 0.622 0.878 0.000
Ga4 Ga 0.878 0.378 0.000
Pd1 Pd 0.000 0.500 0.500
Pd2 Pd 0.064 0.790 0.500
Pd3 Pd 0.210 0.064 0.500
Pd4 Pd 0.290 0.564 0.500
Pd5 Pd 0.436 0.290 0.500
Pd6 Pd 0.500 0.000 0.500
Pd7 Pd 0.564 0.710 0.500
Pd8 Pd 0.710 0.436 0.500
Pd9 Pd 0.790 0.936 0.500
Pd10 Pd 0.936 0.210 0.500
```

Largest 8 diffraction maxima, most intense first, 5° ≤ 2θ ≤ 70°:
- 2θ 37.29, I 100
- 2θ 40.59, I 41
- 2θ 34.92, I 20
- 2θ 48.28, I 17
- 2θ 62.58, I 12
- 2θ 31.12, I 9
- 2θ 43.66, I 8
- 2θ 38.47, I 8